No. 1
Starting from the PBE geometry in Alexandria, the powder XRD pattern of Dy4Ta6O19 was calculated for copper Kα.
Kinematic intensities with the Lorentz-polarization factor, no thermal factor.

The 10 most intense peaks (2θ from 10° to 90°), low angle first:
2θ = 19.47°, d 4.558, I = 24, hkl 2 0 0
2θ = 23.91°, d 3.722, I = 44, hkl 2 1 1
2θ = 31.02°, d 2.883, I = 100, hkl 3 1 0
2θ = 34.07°, d 2.632, I = 18, hkl 2 2 2
2θ = 36.89°, d 2.437, I = 60, hkl 3 2 1
2θ = 48.95°, d 1.861, I = 16, hkl 4 2 2
2θ = 51.08°, d 1.788, I = 59, hkl 4 1 3
2θ = 55.18°, d 1.664, I = 18, hkl 5 2 1
2θ = 60.98°, d 1.519, I = 27, hkl 6 0 0
2θ = 69.99°, d 1.344, I = 16, hkl 6 3 1

Cell and atoms:
```
data_Dy4Ta6O19
_chemical_formula_sum 'Dy8 Ta12 O38'
_symmetry_space_group_name_H-M 'I 2 3'
_symmetry_Int_Tables_number 197
_symmetry_space_group_name_Hall 'I 2 2 3'
_cell_length_a 9.1168
_cell_length_b 9.1168
_cell_length_c 9.1168
_cell_angle_alpha 90.00
_cell_angle_beta 90.00
_cell_angle_gamma 90.00
loop_
_atom_site_label
_atom_site_type_symbol
_atom_site_fract_x
_atom_site_fract_y
_atom_site_fract_z
_atom_site_occupancy
Dy1 Dy 0.1437 0.1437 0.8563 1
Ta1 Ta 0.0000 0.3466 0.5000 1
O1 O 0.0000 0.0000 0.0000 1
O2 O 0.0000 0.0000 0.3281 1
O3 O 0.0426 0.3215 0.7127 1
```


No. 2
Starting from the PBE geometry in Alexandria, the powder XRD pattern of Mg2Au13 was calculated for copper Kα.
Kinematic intensities with the Lorentz-polarization factor, no thermal factor.

The 10 most intense peaks (2θ from 10° to 90°), low angle first:
2θ = 37.01°, d 2.429, I = 100, hkl 1 -2 2
2θ = 37.10°, d 2.423, I = 52, hkl -1 2 1
2θ = 37.41°, d 2.404, I = 59, hkl 2 1 0
2θ = 38.07°, d 2.364, I = 56, hkl 1 2 -3
2θ = 38.39°, d 2.345, I = 33, hkl 0 3 -1
2θ = 38.53°, d 2.336, I = 69, hkl 2 1 -3
2θ = 38.71°, d 2.326, I = 37, hkl 2 -2 1
2θ = 39.11°, d 2.303, I = 41, hkl -2 2 1
2θ = 39.62°, d 2.275, I = 82, hkl 3 0 -2
2θ = 40.17°, d 2.245, I = 48, hkl 1 3 -2

Cell and atoms:
```
data_Mg2Au13
_chemical_formula_sum 'Mg2 Au13'
_symmetry_space_group_name_H-M 'P -1'
_symmetry_Int_Tables_number 2
_symmetry_space_group_name_Hall '-P 1'
_cell_length_a 7.0257
_cell_length_b 7.1886
_cell_length_c 7.2886
_cell_angle_alpha 117.99
_cell_angle_beta 116.45
_cell_angle_gamma 91.96
loop_
_atom_site_label
_atom_site_type_symbol
_atom_site_fract_x
_atom_site_fract_y
_atom_site_fract_z
_atom_site_occupancy
Mg1 Mg 0.1620 0.1989 0.2978 1
Au1 Au 0.0333 0.7376 0.1002 1
Au2 Au 0.1011 0.4448 0.6801 1
Au3 Au 0.2186 0.0632 0.6935 1
Au4 Au 0.3183 0.9084 0.0072 1
Au5 Au 0.3759 0.6619 0.5748 1
Au6 Au 0.4230 0.5361 0.1618 1
Au7 Au 0.5000 0.0000 0.5000 1
```


No. 3
Starting from the PBE geometry in Alexandria, the powder XRD pattern of Ba3Sb4Pd2Pb2 was calculated for copper Kα.
Kinematic intensities with the Lorentz-polarization factor, no thermal factor.

The 10 most intense peaks (2θ from 10° to 90°), low angle first:
2θ = 22.56°, d 3.942, I = 12, hkl 1 0 1
2θ = 23.80°, d 3.738, I = 11, hkl 1 0 2
2θ = 25.76°, d 3.459, I = 17, hkl 1 0 3
2θ = 28.28°, d 3.156, I = 100, hkl 0 1 4
2θ = 31.24°, d 2.863, I = 26, hkl 1 0 5
2θ = 38.83°, d 2.319, I = 61, hkl 1 1 0
2θ = 48.72°, d 1.869, I = 22, hkl 2 0 4
2θ = 56.78°, d 1.621, I = 17, hkl 1 1 9
2θ = 63.98°, d 1.455, I = 20, hkl 1 2 4
2θ = 70.30°, d 1.339, I = 11, hkl 3 0 0

Cell and atoms:
```
data_Ba3Sb4Pd2Pb2
_chemical_formula_sum 'Ba3 Sb4 Pd2 Pb2'
_symmetry_space_group_name_H-M 'P -3 m 1'
_symmetry_Int_Tables_number 164
_symmetry_space_group_name_Hall '-P 3 2"'
_cell_length_a 4.6387
_cell_length_b 4.6387
_cell_length_c 20.4060
_cell_angle_alpha 90.00
_cell_angle_beta 90.00
_cell_angle_gamma 120.00
loop_
_atom_site_label
_atom_site_type_symbol
_atom_site_fract_x
_atom_site_fract_y
_atom_site_fract_z
_atom_site_occupancy
Ba1 Ba 0.0000 0.0000 0.0000 1
Ba2 Ba 0.0000 0.0000 0.2416 1
Sb1 Sb 0.3333 0.6667 0.3532 1
Sb2 Sb 0.3333 0.6667 0.8783 1
Pd1 Pd 0.3333 0.6667 0.1220 1
Pb1 Pb 0.3333 0.6667 0.5725 1
```